Starting from a GGA-PBE-relaxed structure, the X-ray diffraction stick pattern of Cs2Na4I3Br2 was calculated for Cu Kα (weighted mean of Kα1 and Kα2).

Top 12 peaks for 2θ = 10–80°, in order of rising 2θ:
2θ 10.56, 8.374 Å, rel. 230
2θ 22.65, 3.925 Å, rel. 1000
2θ 24.56, 3.624 Å, rel. 931
2θ 27.78, 3.211 Å, rel. 235
2θ 28.88, 3.091 Å, rel. 659
2θ 32.25, 2.776 Å, rel. 662
2θ 33.57, 2.670 Å, rel. 200
2θ 40.96, 2.204 Å, rel. 469
2θ 43.84, 2.065 Å, rel. 414
2θ 46.26, 1.963 Å, rel. 237
2θ 52.10, 1.755 Å, rel. 205
2θ 54.94, 1.671 Å, rel. 219

abc: 17.2017 17.2017 17.2017
angles: 161.43 161.43 26.38
Element x y z (fractional)
Cs 0.1818 0.1818 0.0000
Cs 0.8182 0.8182 0.0000
Na 0.0657 0.5657 0.5000
Na 0.4343 0.9343 0.5000
Na 0.5657 0.0657 0.5000
Na 0.9343 0.4343 0.5000
I 0.3715 0.3715 0.0000
I 0.5000 0.5000 0.0000
I 0.6285 0.6285 0.0000
Br 0.0699 0.0699 0.0000
Br 0.9301 0.9301 0.0000